This entry pairs a crystal structure of Tb2Sm3Y with its theoretical PXRD pattern. Radiation: copper Kα. Structure: a PBE-relaxed structure.
Neutral-atom scattering factors, no anomalous dispersion.

The 12 most intense peaks (2θ = 10–90°), by angle:
d = 3.194 Å, rel. 24, (1 1 1)
d = 2.896 Å, rel. 100, (3 0 -2)
d = 2.868 Å, rel. 19, (1 1 2)
d = 2.760 Å, rel. 50, (2 1 1)
d = 2.739 Å, rel. 38, (3 0 2)
d = 2.556 Å, rel. 36, (1 1 -3)
d = 1.783 Å, rel. 13, (0 2 0)
d = 1.767 Å, rel. 21, (2 1 5)
d = 1.696 Å, rel. 14, (5 1 -1)
d = 1.523 Å, rel. 14, (5 1 3)
d = 1.518 Å, rel. 29, (3 2 -2)
d = 1.495 Å, rel. 23, (3 2 2)

Structure:
abc: 9.6917 3.5652 11.5966
angles: 90.00 93.83 90.00
Positions (direct):
1 Tb 0.0577 0.2500 0.3566
2 Tb 0.4173 0.7500 0.8793
3 Tb 0.5827 0.2500 0.1207
4 Tb 0.9423 0.7500 0.6434
5 Sm 0.0990 0.2500 0.8969
6 Sm 0.2623 0.2500 0.6399
7 Sm 0.4234 0.2500 0.3808
8 Sm 0.5766 0.7500 0.6192
9 Sm 0.7377 0.7500 0.3601
10 Sm 0.9010 0.7500 0.1031
11 Y 0.2582 0.7500 0.1451
12 Y 0.7418 0.2500 0.8549